# 1
Computed XRD peak list of Ti4FeBi2 for Cu Kα (λ = 1.5418 Å), from DFT lattice parameters and positions (PBE).
Intensities are scaled so that the largest is 100.

Crystal structure
a b c (Å): 7.873 7.873 7.873
angles (deg): 95.71 95.71 143.22
Element x y z (fractional)
Ti 0.080 0.809 0.889
Ti 0.191 0.080 0.271
Ti 0.309 0.580 0.889
Ti 0.420 0.309 0.729
Ti 0.580 0.691 0.271
Ti 0.691 0.420 0.111
Ti 0.809 0.920 0.729
Ti 0.920 0.191 0.111
Fe 0.250 0.250 0.000
Fe 0.750 0.750 0.000
Bi 0.139 0.361 0.500
Bi 0.361 0.861 0.222
Bi 0.639 0.139 0.778
Bi 0.861 0.639 0.500

Principal peaks in the range 2θ = 10–90°, in order of rising 2θ:
2θ (°)	intensity
26.03	100
26.68	31
33.94	23
35.57	58
36.17	23
39.57	26
49.98	26
50.44	27

# 2
Computed XRD peak list of K2GdAuCl6 for Cu Kα (λ = 1.5418 Å), from DFT lattice parameters and positions (PBE).
Intensities are scaled so that the largest is 100.

Crystal structure
a b c (Å): 7.628 7.628 7.628
angles (deg): 60.00 60.00 60.00
Element x y z (fractional)
K 0.250 0.250 0.250
K 0.750 0.750 0.750
Gd 0.000 0.000 0.000
Au 0.500 0.500 0.500
Cl 0.246 0.246 0.754
Cl 0.246 0.754 0.246
Cl 0.246 0.754 0.754
Cl 0.754 0.246 0.246
Cl 0.754 0.246 0.754
Cl 0.754 0.754 0.246

Principal peaks in the range 2θ = 10–90°, in order of rising 2θ:
2θ (°)	intensity
16.43	100
23.32	98
33.22	65
37.28	53
40.99	46
47.69	45
50.78	28
64.66	24

# 3
Computed XRD peak list of As3Rh for Cu Kα (λ = 1.5418 Å), from DFT lattice parameters and positions (PBE).
Intensities are scaled so that the largest is 100.

Crystal structure
a b c (Å): 7.434 7.434 7.434
angles (deg): 109.47 109.47 109.47
Element x y z (fractional)
As 0.147 0.348 0.495
As 0.147 0.652 0.798
As 0.202 0.853 0.348
As 0.348 0.202 0.853
As 0.348 0.495 0.147
As 0.495 0.147 0.348
As 0.505 0.853 0.652
As 0.652 0.505 0.853
As 0.652 0.798 0.147
As 0.798 0.147 0.652
As 0.853 0.348 0.202
As 0.853 0.652 0.505
Rh 0.000 0.000 0.500
Rh 0.000 0.500 0.000
Rh 0.500 0.000 0.000
Rh 0.500 0.500 0.500

Principal peaks in the range 2θ = 10–90°, in order of rising 2θ:
2θ (°)	intensity
14.59	15
20.70	29
29.43	19
33.00	100
39.27	25
47.36	68
52.21	38
54.51	38